# 1
This entry pairs a crystal structure of Na7SrLi5 with its computed X-ray diffraction stick pattern. Radiation: Cu Kα (λ = 1.5418 Å). Structure: a PBE-relaxed structure.
Peak positions follow from Bragg's law for the DFT cell and can differ from measured ones.

Largest 8 diffraction maxima, sorted by position, 2θ = 5–70°:
h k l, Position (°2θ), Rel. int.
0 0 2, 15.36, 50.9
1 1 0, 16.10, 50.8
1 2 1, 22.47, 43.8
1 0 3, 27.19, 42.5
1 3 0, 27.51, 66.9
2 0 0, 28.42, 51.1
1 2 3, 31.51, 100.0
1 3 2, 31.66, 82.9

Atomic structure:
Cell: 6.2820 11.3558 11.5342 Å, 90.00 90.00 90.00°
Space group Imm2 (No. 44)
Unique sites:
Na  0.0000  0.0000  0.0000
Na  0.0000  0.0000  0.3084
Na  0.0000  0.2926  0.1584
Na  0.0000  0.3490  0.6650
Na  0.0000  0.5000  0.3778
Sr  0.0000  0.0000  0.6454
Li  0.0000  0.5000  0.9420
Li  0.2492  0.2596  0.9131



# 2
This entry pairs a crystal structure of GaMoRh with its computed X-ray diffraction stick pattern. Radiation: Cu Kα (λ = 1.5418 Å). Structure: a PBE-relaxed structure.
Peak positions follow from Bragg's law for the DFT cell and can differ from measured ones.

Largest 8 diffraction maxima, sorted by position, 2θ = 5–70°:
h k l, Position (°2θ), Rel. int.
1 1 1, 30.95, 2.8
1 3 0, 34.89, 2.0
1 3 1, 41.00, 100.0
2 0 0, 41.91, 24.3
0 0 2, 42.47, 23.3
0 6 0, 57.53, 8.1
2 0 2, 61.19, 15.3
0 6 1, 61.87, 1.6

Atomic structure:
Cell: 4.3116 9.6129 4.2569 Å, 90.00 90.00 90.00°
Space group Cmcm (No. 63)
Unique sites:
Ga  0.0000  0.2493  0.2500
Mo  0.0000  0.4257  0.7500
Rh  0.0000  0.0965  0.7500



Q: Number 1 is which compound?
A: Na7SrLi5



Q: Which formula does entry 2 have?
A: GaMoRh